Calculated powder X-ray diffraction pattern of NaAg2Br3 for CuKα, from DFT lattice parameters and positions (GGA-PBE).

Main lines, sorted by position (15 to 90 degrees two-theta):
18.1 deg, I = 100
22.1 deg, I = 57
26.9 deg, I = 100
33.2 deg, I = 51
33.4 deg, I = 57
38.1 deg, I = 65
40.2 deg, I = 82
42.0 deg, I = 53
42.8 deg, I = 46
44.4 deg, I = 43

Structure:
Unit cell a=8.572 b=8.572 c=5.835 alpha=90.00 beta=90.00 gamma=110.21
Fractional coordinates of all 12 atoms:
Na 0.186 0.814 0.750
Na 0.814 0.186 0.250
Ag 0.221 0.221 0.000
Ag 0.221 0.221 0.500
Ag 0.779 0.779 0.000
Ag 0.779 0.779 0.500
Br 0.103 0.897 0.250
Br 0.146 0.440 0.250
Br 0.440 0.146 0.750
Br 0.560 0.854 0.250
Br 0.854 0.560 0.750
Br 0.897 0.103 0.750

---

Calculated powder X-ray diffraction pattern of CeAl2SiAu4 for CuKα, from DFT lattice parameters and positions (GGA-PBE).

Main lines, sorted by position (15 to 90 degrees two-theta):
26.7 deg, I = 77
32.4 deg, I = 45
34.7 deg, I = 97
39.8 deg, I = 21
41.3 deg, I = 100
42.6 deg, I = 22
55.0 deg, I = 26
65.4 deg, I = 34
71.0 deg, I = 25
75.2 deg, I = 17

Structure:
Unit cell a=9.742 b=9.742 c=9.742 alpha=25.95 beta=25.95 gamma=25.95
Fractional coordinates of all 8 atoms:
Ce 0.000 0.000 0.000
Al 0.247 0.247 0.247
Al 0.753 0.753 0.753
Si 0.500 0.500 0.500
Au 0.128 0.128 0.128
Au 0.397 0.397 0.397
Au 0.603 0.603 0.603
Au 0.872 0.872 0.872

---

Copy entry 1 word for word.
Calculated powder X-ray diffraction pattern of NaAg2Br3 for CuKα, from DFT lattice parameters and positions (GGA-PBE).

Main lines, sorted by position (15 to 90 degrees two-theta):
18.1 deg, I = 100
22.1 deg, I = 57
26.9 deg, I = 100
33.2 deg, I = 51
33.4 deg, I = 57
38.1 deg, I = 65
40.2 deg, I = 82
42.0 deg, I = 53
42.8 deg, I = 46
44.4 deg, I = 43

Structure:
Unit cell a=8.572 b=8.572 c=5.835 alpha=90.00 beta=90.00 gamma=110.21
Fractional coordinates of all 12 atoms:
Na 0.186 0.814 0.750
Na 0.814 0.186 0.250
Ag 0.221 0.221 0.000
Ag 0.221 0.221 0.500
Ag 0.779 0.779 0.000
Ag 0.779 0.779 0.500
Br 0.103 0.897 0.250
Br 0.146 0.440 0.250
Br 0.440 0.146 0.750
Br 0.560 0.854 0.250
Br 0.854 0.560 0.750
Br 0.897 0.103 0.750